1.
Diffraction record for DyCdPb6. The powder X-ray diffraction pattern is calculated, not measured: it uses a DFT-relaxed cell (PBE, Alexandria) and CuKα.
Intensities are scaled so that the largest is 100.

Atomic structure:
```
data_DyCdPb6
_chemical_formula_sum 'Dy2 Cd2 Pb12'
_symmetry_space_group_name_H-M 'C m m m'
_symmetry_Int_Tables_number 65
_symmetry_space_group_name_Hall '-C 2 2'
_cell_length_a 9.592
_cell_length_b 9.639
_cell_length_c 5.096
_cell_angle_alpha 90.00
_cell_angle_beta 90.00
_cell_angle_gamma 90.00
loop_
_atom_site_label
_atom_site_type_symbol
_atom_site_fract_x
_atom_site_fract_y
_atom_site_fract_z
Dy1 Dy 0.000 0.000 0.000
Cd1 Cd 0.000 0.500 0.000
Pb1 Pb 0.000 0.252 0.500
Pb2 Pb 0.246 0.500 0.500
Pb3 Pb 0.250 0.250 0.000
```

Largest 8 diffraction maxima, sorted by position, 10 to 90 degrees two-theta:
2theta, I_rel
31.64, 100
35.22, 19
37.32, 16
37.51, 16
52.25, 13
60.97, 16
63.77, 14
64.03, 14

2.
Diffraction record for Dy2CdPb2. The powder X-ray diffraction pattern is calculated, not measured: it uses a DFT-relaxed cell (PBE, Alexandria) and CuKα.
Intensities are scaled so that the largest is 100.

Atomic structure:
```
data_Dy2CdPb2
_chemical_formula_sum 'Dy4 Cd2 Pb4'
_symmetry_space_group_name_H-M 'P 63/m m c'
_symmetry_Int_Tables_number 194
_symmetry_space_group_name_Hall '-P 6c 2c'
_cell_length_a 5.0562
_cell_length_b 5.0562
_cell_length_c 12.7214
_cell_angle_alpha 90.00
_cell_angle_beta 90.00
_cell_angle_gamma 120.00
loop_
_atom_site_label
_atom_site_type_symbol
_atom_site_fract_x
_atom_site_fract_y
_atom_site_fract_z
Dy1 Dy 0.3333 0.6667 0.1019
Cd1 Cd 0.0000 0.0000 0.2500
Pb1 Pb 0.0000 0.0000 0.0000
Pb2 Pb 0.3333 0.6667 0.7500
```

Largest 8 diffraction maxima, sorted by position, 10 to 90 degrees two-theta:
2theta, I_rel
24.68, 14
29.32, 88
34.87, 36
35.51, 100
46.69, 25
60.00, 24
63.76, 18
69.89, 21

3.
Diffraction record for DyCdSnPb. The powder X-ray diffraction pattern is calculated, not measured: it uses a DFT-relaxed cell (PBE, Alexandria) and CuKα.
Intensities are scaled so that the largest is 100.

Atomic structure:
```
data_DyCdSnPb
_chemical_formula_sum 'Dy1 Cd1 Sn1 Pb1'
_symmetry_space_group_name_H-M 'P m m m'
_symmetry_Int_Tables_number 47
_cell_length_a 4.476
_cell_length_b 4.792
_cell_length_c 4.826
_cell_angle_alpha 90.00
_cell_angle_beta 90.00
_cell_angle_gamma 90.00
loop_
_symmetry_equiv_pos_as_xyz
'x,y,z'
'-x,-y,-z'
'-x,-y,z'
'x,y,-z'
'x,-y,-z'
'-x,y,z'
'-x,y,-z'
'x,-y,z'
loop_
_atom_site_label
_atom_site_type_symbol
_atom_site_fract_x
_atom_site_fract_y
_atom_site_fract_z
Dy1 Dy 0.000 0.000 0.000
Cd1 Cd 0.000 0.500 0.500
Sn1 Sn 0.500 0.500 0.000
Pb1 Pb 0.500 0.000 0.500
```

Largest 8 diffraction maxima, sorted by position, 10 to 90 degrees two-theta:
2theta, I_rel
33.08, 100
37.26, 18
37.53, 18
40.30, 15
53.92, 13
64.55, 15
64.92, 14
68.70, 12

4.
Diffraction record for DyCd2Pd5. The powder X-ray diffraction pattern is calculated, not measured: it uses a DFT-relaxed cell (PBE, Alexandria) and CuKα.
Intensities are scaled so that the largest is 100.

Atomic structure:
```
data_DyCd2Pd5
_chemical_formula_sum 'Dy4 Cd8 Pd20'
_symmetry_space_group_name_H-M 'I 4/m c m'
_symmetry_Int_Tables_number 140
_symmetry_space_group_name_Hall '-I 4 2c'
_cell_length_a 7.257
_cell_length_b 7.257
_cell_length_c 11.070
_cell_angle_alpha 90.00
_cell_angle_beta 90.00
_cell_angle_gamma 90.00
loop_
_atom_site_label
_atom_site_type_symbol
_atom_site_fract_x
_atom_site_fract_y
_atom_site_fract_z
Dy1 Dy 0.000 0.000 0.250
Cd1 Cd 0.153 0.347 0.000
Pd1 Pd 0.000 0.000 0.000
Pd2 Pd 0.143 0.357 0.333
```

Largest 8 diffraction maxima, sorted by position, 10 to 90 degrees two-theta:
2theta, I_rel
34.97, 10
36.89, 100
39.26, 58
51.74, 17
56.73, 8
73.17, 10
75.04, 18
84.18, 8

5.
Diffraction record for Dy2Cd5Pd. The powder X-ray diffraction pattern is calculated, not measured: it uses a DFT-relaxed cell (PBE, Alexandria) and CuKα.
Intensities are scaled so that the largest is 100.

Atomic structure:
```
data_Dy2Cd5Pd
_chemical_formula_sum 'Dy6 Cd15 Pd3'
_symmetry_space_group_name_H-M 'R -3 m'
_symmetry_Int_Tables_number 166
_symmetry_space_group_name_Hall '-R 3 2"'
_cell_length_a 4.8357
_cell_length_b 4.8357
_cell_length_c 29.7760
_cell_angle_alpha 90.00
_cell_angle_beta 90.00
_cell_angle_gamma 120.00
loop_
_atom_site_label
_atom_site_type_symbol
_atom_site_fract_x
_atom_site_fract_y
_atom_site_fract_z
Dy1 Dy 0.0000 0.0000 0.0884
Cd1 Cd 0.0000 0.0000 0.1994
Cd2 Cd 0.0000 0.0000 0.3518
Cd3 Cd 0.0000 0.0000 0.5000
Pd1 Pd 0.0000 0.0000 0.0000
```

Largest 8 diffraction maxima, sorted by position, 10 to 90 degrees two-theta:
2theta, I_rel
21.43, 16
29.94, 75
37.05, 22
37.19, 100
39.65, 25
48.45, 19
62.62, 17
67.02, 24

6.
Diffraction record for DyCd4Pd15. The powder X-ray diffraction pattern is calculated, not measured: it uses a DFT-relaxed cell (PBE, Alexandria) and CuKα.
Intensities are scaled so that the largest is 100.

Atomic structure:
```
data_DyCd4Pd15
_chemical_formula_sum 'Dy1 Cd4 Pd15'
_symmetry_space_group_name_H-M 'P 4/m m m'
_symmetry_Int_Tables_number 123
_symmetry_space_group_name_Hall '-P 4 2'
_cell_length_a 4.057
_cell_length_b 4.057
_cell_length_c 20.181
_cell_angle_alpha 90.00
_cell_angle_beta 90.00
_cell_angle_gamma 90.00
loop_
_atom_site_label
_atom_site_type_symbol
_atom_site_fract_x
_atom_site_fract_y
_atom_site_fract_z
Dy1 Dy 0.000 0.000 0.000
Cd1 Cd 0.000 0.000 0.204
Cd2 Cd 0.000 0.000 0.401
Pd1 Pd 0.000 0.500 0.104
Pd2 Pd 0.000 0.500 0.303
Pd3 Pd 0.000 0.500 0.500
Pd4 Pd 0.500 0.500 0.000
Pd5 Pd 0.500 0.500 0.203
Pd6 Pd 0.500 0.500 0.402
```

Largest 8 diffraction maxima, sorted by position, 10 to 90 degrees two-theta:
2theta, I_rel
38.50, 100
44.67, 33
44.92, 16
65.02, 10
65.21, 20
78.18, 24
78.53, 11
82.51, 10

7.
Diffraction record for Dy2Cd2Pd5. The powder X-ray diffraction pattern is calculated, not measured: it uses a DFT-relaxed cell (PBE, Alexandria) and CuKα.
Intensities are scaled so that the largest is 100.

Atomic structure:
```
data_Dy2Cd2Pd5
_chemical_formula_sum 'Dy8 Cd8 Pd20'
_symmetry_space_group_name_H-M 'I m a 2'
_symmetry_Int_Tables_number 46
_cell_length_a 14.186
_cell_length_b 5.422
_cell_length_c 9.124
_cell_angle_alpha 90.00
_cell_angle_beta 90.00
_cell_angle_gamma 90.00
loop_
_symmetry_equiv_pos_as_xyz
'x,y,z'
'-x,-y,z'
'-x+1/2,y,z'
'x+1/2,-y,z'
'x+1/2,y+1/2,z+1/2'
'-x+1/2,-y+1/2,z+1/2'
'-x,y+1/2,z+1/2'
'x,-y+1/2,z+1/2'
loop_
_atom_site_label
_atom_site_type_symbol
_atom_site_fract_x
_atom_site_fract_y
_atom_site_fract_z
Dy1 Dy 0.127 0.028 0.000
Cd1 Cd 0.000 0.000 0.499
Cd2 Cd 0.250 0.533 0.001
Pd1 Pd 0.044 0.249 0.749
Pd2 Pd 0.152 0.748 0.751
Pd3 Pd 0.250 0.249 0.751
```

Largest 8 diffraction maxima, sorted by position, 10 to 90 degrees two-theta:
2theta, I_rel
31.70, 89
35.72, 25
38.63, 100
39.51, 50
40.99, 54
42.56, 40
54.31, 16
71.08, 16

8.
Diffraction record for Dy3Cd4Pd4. The powder X-ray diffraction pattern is calculated, not measured: it uses a DFT-relaxed cell (PBE, Alexandria) and CuKα.
Intensities are scaled so that the largest is 100.

Atomic structure:
```
data_Dy3Cd4Pd4
_chemical_formula_sum 'Dy6 Cd8 Pd8'
_symmetry_space_group_name_H-M 'I m m m'
_symmetry_Int_Tables_number 71
_symmetry_space_group_name_Hall '-I 2 2'
_cell_length_a 3.889
_cell_length_b 8.004
_cell_length_c 15.457
_cell_angle_alpha 90.00
_cell_angle_beta 90.00
_cell_angle_gamma 90.00
loop_
_atom_site_label
_atom_site_type_symbol
_atom_site_fract_x
_atom_site_fract_y
_atom_site_fract_z
Dy1 Dy 0.000 0.000 0.000
Dy2 Dy 0.000 0.500 0.114
Cd1 Cd 0.000 0.311 0.333
Pd1 Pd 0.000 0.000 0.247
Pd2 Pd 0.000 0.190 0.500
```

Largest 8 diffraction maxima, sorted by position, 10 to 90 degrees two-theta:
2theta, I_rel
31.01, 21
32.62, 87
34.59, 100
37.98, 47
42.73, 20
46.71, 28
61.71, 22
67.79, 23